Record 1
For LuMgTl, a structure optimized by DFT (PBE) gives the simulated powder diffractogram in this record (Cu Kα (λ = 1.5418 Å)).

Peak list (8 most intense, 10 to 80 degrees two-theta, low angle first)
d 3.763, 23.65°, I 21
d 3.736, 23.82°, I 36
d 2.906, 30.77°, I 52
d 2.651, 33.81°, I 100
d 2.312, 38.95°, I 25
d 2.162, 41.78°, I 26
d 2.157, 41.88°, I 23
d 1.413, 66.13°, I 26

Cell and atoms:
```
LuMgTl
1.0
7.4717 0.0000 0.0000
-3.7359 6.4707 0.0000
0.0000 0.0000 4.6250
Lu Mg Tl
3 3 3
direct
0.0000 0.5735 0.0000
0.4265 0.4265 0.0000
0.5735 0.0000 0.0000
0.0000 0.2459 0.5000
0.2459 0.0000 0.5000
0.7541 0.7541 0.5000
0.0000 0.0000 0.0000
0.3333 0.6667 0.5000
0.6667 0.3333 0.5000
```

Record 2
For LuMgTl2, a structure optimized by DFT (PBE) gives the simulated powder diffractogram in this record (Cu Kα (λ = 1.5418 Å)).

Peak list (8 most intense, 10 to 80 degrees two-theta, low angle first)
d 4.274, 20.78°, I 14
d 3.702, 24.04°, I 13
d 2.618, 34.26°, I 100
d 2.232, 40.41°, I 8
d 1.851, 49.23°, I 18
d 1.655, 55.51°, I 6
d 1.511, 61.34°, I 38
d 1.309, 72.18°, I 12

Cell and atoms:
```
LuMgTl2
1.0
7.4035 0.0000 0.0000
0.0000 7.4035 0.0000
0.0000 0.0000 7.4035
Lu Mg Tl
4 4 8
direct
0.0000 0.0000 0.0000
0.0000 0.5000 0.5000
0.5000 0.0000 0.5000
0.5000 0.5000 0.0000
0.0000 0.0000 0.5000
0.0000 0.5000 0.0000
0.5000 0.0000 0.0000
0.5000 0.5000 0.5000
0.2500 0.2500 0.2500
0.2500 0.2500 0.7500
0.2500 0.7500 0.2500
0.2500 0.7500 0.7500
0.7500 0.2500 0.2500
0.7500 0.2500 0.7500
0.7500 0.7500 0.2500
0.7500 0.7500 0.7500
```

Record 3
For TmLuMg2, a structure optimized by DFT (PBE) gives the simulated powder diffractogram in this record (Cu Kα (λ = 1.5418 Å)).

Peak list (8 most intense, 10 to 80 degrees two-theta, low angle first)
d 3.744, 23.77°, I 66
d 2.647, 33.86°, I 100
d 2.162, 41.79°, I 20
d 1.872, 48.64°, I 18
d 1.674, 54.83°, I 28
d 1.528, 60.58°, I 38
d 1.324, 71.24°, I 12
d 1.248, 76.30°, I 14

Cell and atoms:
```
TmLuMg2
1.0
7.4877 0.0000 0.0000
0.0000 7.4877 0.0000
0.0000 0.0000 7.4877
Tm Lu Mg
4 4 8
direct
0.0000 0.0000 0.0000
0.0000 0.5000 0.5000
0.5000 0.0000 0.5000
0.5000 0.5000 0.0000
0.0000 0.0000 0.5000
0.0000 0.5000 0.0000
0.5000 0.0000 0.0000
0.5000 0.5000 0.5000
0.2500 0.2500 0.2500
0.2500 0.2500 0.7500
0.2500 0.7500 0.2500
0.2500 0.7500 0.7500
0.7500 0.2500 0.2500
0.7500 0.2500 0.7500
0.7500 0.7500 0.2500
0.7500 0.7500 0.7500
```

Record 4
For LuMgZn2, a structure optimized by DFT (PBE) gives the simulated powder diffractogram in this record (Cu Kα (λ = 1.5418 Å)).

Peak list (8 most intense, 10 to 80 degrees two-theta, low angle first)
d 3.905, 22.77°, I 44
d 3.382, 26.35°, I 3
d 2.392, 37.61°, I 100
d 2.039, 44.42°, I 23
d 1.691, 54.24°, I 17
d 1.552, 59.57°, I 10
d 1.381, 67.88°, I 34
d 1.302, 72.63°, I 7

Cell and atoms:
```
LuMgZn2
1.0
6.7642 0.0000 0.0000
0.0000 6.7642 0.0000
0.0000 0.0000 6.7642
Lu Mg Zn
4 4 8
direct
0.0000 0.0000 0.0000
0.0000 0.5000 0.5000
0.5000 0.0000 0.5000
0.5000 0.5000 0.0000
0.0000 0.0000 0.5000
0.0000 0.5000 0.0000
0.5000 0.0000 0.0000
0.5000 0.5000 0.5000
0.2500 0.2500 0.2500
0.2500 0.2500 0.7500
0.2500 0.7500 0.2500
0.2500 0.7500 0.7500
0.7500 0.2500 0.2500
0.7500 0.2500 0.7500
0.7500 0.7500 0.2500
0.7500 0.7500 0.7500
```

Record 5
For Lu2MnS4, a structure optimized by DFT (PBE) gives the simulated powder diffractogram in this record (Cu Kα (λ = 1.5418 Å)).

Peak list (8 most intense, 10 to 80 degrees two-theta, low angle first)
d 6.302, 14.05°, I 65
d 3.291, 27.09°, I 100
d 3.151, 28.32°, I 29
d 2.729, 32.82°, I 61
d 2.101, 43.06°, I 41
d 1.930, 47.10°, I 69
d 1.421, 65.70°, I 23
d 1.220, 78.35°, I 19

Cell and atoms:
```
Lu2MnS4
1.0
0.0000 5.4579 5.4579
5.4579 0.0000 5.4579
5.4579 5.4579 0.0000
Lu Mn S
4 2 8
direct
0.0000 0.0000 0.0000
0.0000 0.0000 0.5000
0.0000 0.5000 0.0000
0.5000 0.0000 0.0000
0.3750 0.3750 0.3750
0.6250 0.6250 0.6250
0.2372 0.7543 0.7543
0.2457 0.2457 0.2457
0.2457 0.2457 0.7628
0.2457 0.7628 0.2457
0.7543 0.2372 0.7543
0.7543 0.7543 0.2372
0.7543 0.7543 0.7543
0.7628 0.2457 0.2457
```

Record 6
For Lu4MnS7, a structure optimized by DFT (PBE) gives the simulated powder diffractogram in this record (Cu Kα (λ = 1.5418 Å)).

Peak list (8 most intense, 10 to 80 degrees two-theta, low angle first)
d 3.608, 24.67°, I 100
d 3.537, 25.18°, I 93
d 3.087, 28.92°, I 87
d 2.752, 32.53°, I 39
d 2.719, 32.94°, I 45
d 2.622, 34.20°, I 51
d 2.539, 35.36°, I 56
d 2.094, 43.20°, I 42

Cell and atoms:
```
Lu4MnS7
1.0
6.1709 -1.8615 0.0000
6.1709 1.8615 0.0000
-2.8545 0.0000 10.9523
Lu Mn S
4 1 7
direct
0.0000 0.0000 0.0000
0.3868 0.3868 0.6027
0.5785 0.5785 0.3691
0.6930 0.6930 0.8028
0.8071 0.8071 0.2204
0.0331 0.0331 0.7476
0.1971 0.1971 0.2981
0.3532 0.3532 0.8498
0.4300 0.4300 0.1531
0.6577 0.6577 0.0204
0.7307 0.7307 0.5841
0.9494 0.9494 0.4421
```

Record 7
For LuSc3Mn4Si4, a structure optimized by DFT (PBE) gives the simulated powder diffractogram in this record (Cu Kα (λ = 1.5418 Å)).

Peak list (8 most intense, 10 to 80 degrees two-theta, low angle first)
d 7.455, 11.87°, I 53
d 2.525, 35.56°, I 47
d 2.506, 35.84°, I 66
d 2.490, 36.07°, I 100
d 2.398, 37.50°, I 69
d 2.385, 37.72°, I 62
d 2.098, 43.12°, I 66
d 1.955, 46.44°, I 55

Cell and atoms:
```
LuSc3Mn4Si4
1.0
6.6134 0.0000 0.0000
0.0000 3.9104 0.0000
-0.0901 0.0000 7.4547
Lu Sc Mn Si
1 3 4 4
direct
0.0000 0.0000 0.0000
0.4628 0.5000 0.4994
0.4997 0.0000 0.8600
0.9597 0.5000 0.3678
0.1205 0.0000 0.6222
0.3354 0.5000 0.1295
0.6147 0.0000 0.2383
0.8378 0.5000 0.7363
0.2056 0.5000 0.7956
0.2582 0.0000 0.3120
0.6940 0.5000 0.0621
0.7592 0.0000 0.5585
```

Record 8
For Lu2Mn3Si5, a structure optimized by DFT (PBE) gives the simulated powder diffractogram in this record (Cu Kα (λ = 1.5418 Å)).

Peak list (8 most intense, 10 to 80 degrees two-theta, low angle first)
d 3.519, 25.31°, I 32
d 2.814, 31.80°, I 100
d 2.541, 35.32°, I 32
d 2.343, 38.42°, I 27
d 2.316, 38.88°, I 28
d 2.294, 39.28°, I 47
d 2.163, 41.76°, I 48
d 1.703, 53.84°, I 25

Cell and atoms:
```
Lu2Mn3Si5
1.0
10.4786 0.0000 0.0000
0.0000 10.4786 0.0000
0.0000 0.0000 5.3289
Lu Mn Si
8 12 20
direct
0.0730 0.2381 0.0000
0.2381 0.9270 0.0000
0.2619 0.4270 0.5000
0.4270 0.7381 0.5000
0.5730 0.2619 0.5000
0.7381 0.5730 0.5000
0.7619 0.0730 0.0000
0.9270 0.7619 0.0000
0.0000 0.5000 0.2500
0.0000 0.5000 0.7500
0.1229 0.8554 0.5000
0.1446 0.1229 0.5000
0.3554 0.6229 0.0000
0.3771 0.3554 0.0000
0.5000 0.0000 0.2500
0.5000 0.0000 0.7500
0.6229 0.6446 0.0000
0.6446 0.3771 0.0000
0.8554 0.8771 0.5000
0.8771 0.1446 0.5000
0.0000 0.0000 0.2514
0.0000 0.0000 0.7486
0.0240 0.3143 0.5000
0.1779 0.6779 0.2500
0.1779 0.6779 0.7500
0.1857 0.4760 0.0000
0.3143 0.9760 0.5000
0.3221 0.1779 0.2500
0.3221 0.1779 0.7500
0.4760 0.8143 0.0000
0.5000 0.5000 0.2486
0.5000 0.5000 0.7514
0.5240 0.1857 0.0000
0.6779 0.8221 0.2500
0.6779 0.8221 0.7500
0.6857 0.0240 0.5000
0.8143 0.5240 0.0000
0.8221 0.3221 0.2500
0.8221 0.3221 0.7500
0.9760 0.6857 0.5000
```

Record 9
For LuMnSn2, a structure optimized by DFT (PBE) gives the simulated powder diffractogram in this record (Cu Kα (λ = 1.5418 Å)).

Peak list (8 most intense, 10 to 80 degrees two-theta, low angle first)
d 2.719, 32.94°, I 56
d 2.642, 33.93°, I 100
d 2.530, 35.49°, I 60
d 2.512, 35.74°, I 88
d 2.501, 35.91°, I 32
d 2.386, 37.69°, I 40
d 2.240, 40.26°, I 31
d 1.537, 60.19°, I 23

Cell and atoms:
```
LuMnSn2
1.0
10.2574 0.0000 0.0000
0.0000 11.2788 0.0000
0.0000 0.0000 8.9605
Lu Mn Sn
12 12 24
direct
0.1653 0.1790 0.0000
0.1715 0.4523 0.2404
0.1715 0.4523 0.7596
0.3285 0.9523 0.2404
0.3285 0.9523 0.7596
0.3347 0.6790 0.0000
0.6653 0.3210 0.0000
0.6715 0.0477 0.2404
0.6715 0.0477 0.7596
0.8285 0.5477 0.2404
0.8285 0.5477 0.7596
0.8347 0.8210 0.0000
0.0000 0.0000 0.2440
0.0000 0.0000 0.7560
0.0886 0.7509 0.2492
0.0886 0.7509 0.7508
0.4114 0.2509 0.2492
0.4114 0.2509 0.7508
0.5000 0.5000 0.2440
0.5000 0.5000 0.7560
0.5886 0.7491 0.2492
0.5886 0.7491 0.7508
0.9114 0.2491 0.2492
0.9114 0.2491 0.7508
0.0405 0.6228 0.0000
0.0422 0.6236 0.5000
0.1283 0.9057 0.5000
0.1289 0.8978 0.0000
0.1622 0.1813 0.3367
0.1622 0.1813 0.6633
0.3378 0.6813 0.3367
0.3378 0.6813 0.6633
0.3711 0.3978 0.0000
0.3717 0.4057 0.5000
0.4578 0.1236 0.5000
0.4595 0.1228 0.0000
0.5405 0.8772 0.0000
0.5422 0.8764 0.5000
0.6283 0.5943 0.5000
0.6289 0.6022 0.0000
0.6622 0.3187 0.3367
0.6622 0.3187 0.6633
0.8378 0.8187 0.3367
0.8378 0.8187 0.6633
0.8711 0.1022 0.0000
0.8717 0.0943 0.5000
0.9578 0.3764 0.5000
0.9595 0.3772 0.0000
```

Record 10
For LuMo6S8, a structure optimized by DFT (PBE) gives the simulated powder diffractogram in this record (Cu Kα (λ = 1.5418 Å)).

Peak list (8 most intense, 10 to 80 degrees two-theta, low angle first)
d 6.477, 13.67°, I 41
d 4.580, 19.38°, I 100
d 2.894, 30.89°, I 75
d 2.642, 33.93°, I 52
d 2.165, 41.72°, I 42
d 2.156, 41.90°, I 70
d 2.049, 44.21°, I 73
d 1.952, 46.52°, I 61

Cell and atoms:
```
LuMo6S8
1.0
4.5723 2.6398 3.7512
-4.5723 2.6398 3.7512
0.0000 -5.2796 3.7512
Lu Mo S
1 6 8
direct
0.0000 0.0000 0.0000
0.2231 0.4187 0.5593
0.4187 0.5593 0.2231
0.4407 0.7769 0.5813
0.5593 0.2231 0.4187
0.5813 0.4407 0.7769
0.7769 0.5813 0.4407
0.1276 0.7517 0.3672
0.2349 0.2349 0.2349
0.2483 0.6328 0.8724
0.3672 0.1276 0.7517
0.6328 0.8724 0.2483
0.7517 0.3672 0.1276
0.7651 0.7651 0.7651
0.8724 0.2483 0.6328
```

Record 11
For LuN, a structure optimized by DFT (PBE) gives the simulated powder diffractogram in this record (Cu Kα (λ = 1.5418 Å)).

Peak list (5 most intense, 10 to 80 degrees two-theta, low angle first)
d 2.746, 32.61°, I 100
d 2.378, 37.83°, I 69
d 1.682, 54.57°, I 47
d 1.434, 65.03°, I 44
d 1.373, 68.31°, I 16

Cell and atoms:
```
LuN
1.0
4.7566 0.0000 0.0000
0.0000 4.7566 0.0000
0.0000 0.0000 4.7566
Lu N
4 4
direct
0.0000 0.0000 0.0000
0.0000 0.5000 0.5000
0.5000 0.0000 0.5000
0.5000 0.5000 0.0000
0.0000 0.0000 0.5000
0.0000 0.5000 0.0000
0.5000 0.0000 0.0000
0.5000 0.5000 0.5000
```

Record 12
For NaLu3, a structure optimized by DFT (PBE) gives the simulated powder diffractogram in this record (Cu Kα (λ = 1.5418 Å)).

Peak list (8 most intense, 10 to 80 degrees two-theta, low angle first)
d 4.495, 19.75°, I 17
d 3.893, 22.84°, I 9
d 2.753, 32.53°, I 100
d 2.347, 38.34°, I 10
d 1.946, 46.67°, I 18
d 1.589, 58.04°, I 39
d 1.376, 68.13°, I 12
d 1.231, 77.55°, I 17

Cell and atoms:
```
NaLu3
1.0
7.7857 0.0000 0.0000
0.0000 7.7857 0.0000
0.0000 0.0000 7.7857
Na Lu
4 12
direct
0.0000 0.0000 0.0000
0.0000 0.5000 0.5000
0.5000 0.0000 0.5000
0.5000 0.5000 0.0000
0.0000 0.0000 0.5000
0.0000 0.5000 0.0000
0.2500 0.2500 0.2500
0.2500 0.2500 0.7500
0.2500 0.7500 0.2500
0.2500 0.7500 0.7500
0.5000 0.0000 0.0000
0.5000 0.5000 0.5000
0.7500 0.2500 0.2500
0.7500 0.2500 0.7500
0.7500 0.7500 0.2500
0.7500 0.7500 0.7500
```

Record 13
For NaLu3, a structure optimized by DFT (PBE) gives the simulated powder diffractogram in this record (Cu Kα (λ = 1.5418 Å)).

Peak list (8 most intense, 10 to 80 degrees two-theta, low angle first)
d 4.371, 20.32°, I 22
d 2.852, 31.37°, I 100
d 2.614, 34.30°, I 20
d 2.406, 37.38°, I 31
d 1.770, 51.64°, I 25
d 1.551, 59.61°, I 16
d 1.461, 63.70°, I 27
d 1.426, 65.46°, I 13

Cell and atoms:
```
NaLu3
1.0
4.8113 0.0000 0.0000
0.0000 4.8113 0.0000
0.0000 0.0000 10.4563
Na Lu
2 6
direct
0.0000 0.0000 0.0000
0.5000 0.5000 0.5000
0.0000 0.0000 0.5000
0.0000 0.5000 0.2500
0.0000 0.5000 0.7500
0.5000 0.0000 0.2500
0.5000 0.0000 0.7500
0.5000 0.5000 0.0000
```